The following is a calculated PXRD pattern of V4HgO7. It was derived from a DFT-relaxed cell (GGA+U, Alexandria), using CuKα.
Kinematic intensities with the Lorentz-polarization factor, no thermal factor.

Top 12 peaks for 2θ from 10° to 90°, by angle:
2theta  Rel. int.
22.42  26
23.99  45
24.86  53
25.66  100
30.50  21
33.28  24
34.77  16
35.41  23
39.73  17
41.44  14
44.18  16
47.41  13

Structure:
Cell lengths 14.370, 5.861, 5.384 Å; angles 90.00, 90.00, 90.00 degrees
Space group Pmn2_1 (No. 31)
Unique sites:
V 0.120 0.182 0.000
V 0.248 0.330 0.499
Hg 0.000 0.729 0.473
O 0.000 0.249 0.922
O 0.142 0.250 0.323
O 0.161 0.899 0.960
O 0.205 0.388 0.843